# LiCa3Pd2
Theoretical powder diffraction line list, Cu Ka. Input: a crystal structure in Alexandria, relaxed with PBE.
Intensities are scaled so that the largest is 100.

Atomic structure:
a = 7.8261 Å, b = 7.8261 Å, c = 18.1055 Å
α = 90.00°, β = 90.00°, γ = 120.00°
Space group R-3c (No. 167, hexagonal axes)
Symmetry-distinct sites (fractional):
Li1 0.0000 0.0000 0.0000 [6 per cell]
Ca1 0.0000 0.2844 0.2500 [18 per cell]
Pd1 0.0000 0.0000 0.1406 [12 per cell]

Top 10 peaks for 2θ = 10–90°, by angle:
two_theta  I (rel.)  (hkl)
16.34  31  0 1 2
22.72  100  1 1 0
23.64  98  1 0 4
27.16  49  1 1 3
33.02  75  0 2 4
37.64  65  1 1 6
39.90  82  3 0 0
40.46  75  2 1 4
62.84  28  4 1 0
63.23  24  3 2 4


# PuPa2BeN5
Theoretical powder diffraction line list, Cu Ka. Input: a crystal structure in Alexandria, relaxed with PBE.
Intensities are scaled so that the largest is 100.

Atomic structure:
a = 3.357 Å, b = 13.100 Å, c = 10.119 Å
α = 90.00°, β = 90.00°, γ = 90.00°
Space group Cmc2_1 (No. 36)
Symmetry-distinct sites (fractional):
Pu1 0.000 0.164 0.000 [4 per cell]
Pa1 0.000 0.110 0.645 [4 per cell]
Pa2 0.000 0.149 0.306 [4 per cell]
Be1 0.000 0.469 0.361 [4 per cell]
N1 0.000 0.000 0.428 [4 per cell]
N2 0.000 0.282 0.661 [4 per cell]
N3 0.000 0.332 0.976 [4 per cell]
N4 0.000 0.334 0.343 [4 per cell]
N5 0.000 0.490 0.699 [4 per cell]

Top 10 peaks for 2θ = 10–90°, by angle:
two_theta  I (rel.)  (hkl)
27.23  43  0 4 0
27.43  57  1 1 0
28.65  23  0 4 1
29.79  100  0 2 3
33.68  56  1 3 0
38.45  86  1 1 3
43.31  16  1 3 3
49.74  18  0 6 3
51.91  31  1 5 3
63.52  25  2 2 3


# ZrPa2
Theoretical powder diffraction line list, Cu Ka. Input: a crystal structure in Alexandria, relaxed with PBE.
Intensities are scaled so that the largest is 100.

Atomic structure:
a = 5.663 Å, b = 9.801 Å, c = 5.647 Å
α = 90.00°, β = 110.05°, γ = 90.00°
Space group C2/c (No. 15)
Symmetry-distinct sites (fractional):
Zr1 0.000 0.076 0.250 [4 per cell]
Pa1 0.000 0.253 0.750 [4 per cell]
Pa2 0.000 0.409 0.250 [4 per cell]

Top 10 peaks for 2θ = 10–90°, by angle:
two_theta  I (rel.)  (hkl)
18.98  16  1 1 0
33.56  100  1 3 -1
33.74  100  2 0 0
38.87  34  2 0 -2
39.15  66  1 3 1
56.30  35  3 3 -1
56.42  23  1 3 -3
67.03  21  4 0 -2
67.25  20  2 0 -4
67.32  14  0 6 2